Structure and theoretical powder diffractogram of Cs2TeMo3O12 (a cell relaxed with PBE+U; Cu Kα (λ = 1.5418 Å)).
Neutral-atom scattering factors, no anomalous dispersion.

Atomic structure:
Cell lengths 7.4970, 7.4970, 12.6937 Å; angles 90.00, 90.00, 120.00 degrees
Space group P6_3 (No. 173)
Inequivalent atoms, fractional coordinates:
Cs 0.3333 0.6667 0.0000 x2
Cs 0.3333 0.6667 0.3680 x2
Te 0.0000 0.0000 0.4343 x2
Mo 0.1401 0.3380 0.6670 x6
O 0.0889 0.5456 0.6302 x6
O 0.1194 0.8587 0.5033 x6
O 0.1248 0.2494 0.1764 x6
O 0.1877 0.8011 0.8019 x6

Principal peaks in the range 10 to 80 degrees two-theta, sorted by position:
two_theta	d (Å)	I (rel.)
23.74	3.749	27
25.12	3.545	59
27.64	3.228	100
28.12	3.173	15
28.38	3.145	67
31.38	2.851	16
42.59	2.123	19
44.22	2.048	26
45.35	2.000	24
48.58	1.874	32
51.56	1.772	16
55.46	1.657	19